Entry 1:
Calculated powder diffractogram of CaTl2Hg6 for Cu Kα, 1.54184 Å, from a crystal structure in Alexandria, relaxed with PBE.
Intensities are scaled so that the largest is 100.

Structural model:
Lattice parameters (Å, degrees): 8.3321 9.1876 6.3335 90.00 95.97 90.00
Space group C2/m (No. 12)
Unique sites:
Ca 0.0000 0.0000 0.0000 [2 per cell]
Tl 0.1590 0.5000 0.6708 [4 per cell]
Hg 0.0000 0.1655 0.5000 [4 per cell]
Hg 0.1699 0.3323 0.1692 [8 per cell]

The 8 most intense peaks (2θ = 5–70°), low angle first:
- (2 0 1), 27.0 deg, intensity 10
- (1 1 2), 32.9 deg, intensity 23
- (2 2 1), 33.4 deg, intensity 22
- (1 3 -1), 33.9 deg, intensity 100
- (0 2 3), 47.6 deg, intensity 8
- (2 4 1), 48.2 deg, intensity 8
- (0 6 0), 60.5 deg, intensity 9
- (3 3 -3), 60.6 deg, intensity 10

=====

Entry 2:
Calculated powder diffractogram of Ba4Cu3Si20 for Cu Kα, 1.54184 Å, from a crystal structure in Alexandria, relaxed with PBE.
Intensities are scaled so that the largest is 100.

Structural model:
Lattice parameters (Å, degrees): 10.3794 10.3794 10.3794 90.00 90.00 90.00
Space group Pm-3n (No. 223)
Unique sites:
Ba 0.0000 0.0000 0.0000 [2 per cell]
Ba 0.0000 0.2500 0.5000 [6 per cell]
Cu 0.0000 0.5000 0.2500 [6 per cell]
Si 0.0000 0.3112 0.1191 [24 per cell]
Si 0.1838 0.1838 0.1838 [16 per cell]

The 8 most intense peaks (2θ = 5–70°), low angle first:
- (2 1 1), 21.0 deg, intensity 32
- (2 2 2), 29.8 deg, intensity 33
- (3 2 0), 31.1 deg, intensity 22
- (3 2 1), 32.3 deg, intensity 100
- (4 0 0), 34.6 deg, intensity 27
- (4 4 0), 49.7 deg, intensity 14
- (6 0 0), 52.9 deg, intensity 17
- (5 3 2), 54.5 deg, intensity 38

=====

Entry 3:
Calculated powder diffractogram of CuPdCl4 for Cu Kα, 1.54184 Å, from a crystal structure in Alexandria, relaxed with PBE.
Intensities are scaled so that the largest is 100.

Structural model:
Lattice parameters (Å, degrees): 6.2626 4.1577 12.7040 90.00 111.83 90.00
Space group P2_1/c (No. 14)
Unique sites:
Cu 0.0000 0.0000 0.0000 [2 per cell]
Pd 0.5000 0.0000 0.5000 [2 per cell]
Cl 0.2047 0.1601 0.8896 [4 per cell]
Cl 0.2829 0.6484 0.1060 [4 per cell]

The 8 most intense peaks (2θ = 5–70°), low angle first:
- (0 0 2), 15.0 deg, intensity 100
- (1 1 -1), 25.8 deg, intensity 25
- (0 1 2), 26.2 deg, intensity 17
- (1 1 1), 29.0 deg, intensity 55
- (2 0 -4), 34.3 deg, intensity 21
- (1 1 3), 38.7 deg, intensity 24
- (2 0 -6), 45.1 deg, intensity 13
- (3 1 -3), 49.2 deg, intensity 13

=====

Entry 4:
Calculated powder diffractogram of Tb5CeTh4 for Cu Kα, 1.54184 Å, from a crystal structure in Alexandria, relaxed with PBE.
Intensities are scaled so that the largest is 100.

Structural model:
Lattice parameters (Å, degrees): 18.4331 3.5683 10.0277 90.00 106.41 90.00
Space group C2/m (No. 12)
Unique sites:
Tb 0.0000 0.0000 0.0000 [2 per cell]
Tb 0.1001 0.5000 0.3071 [4 per cell]
Tb 0.2020 0.0000 0.1013 [4 per cell]
Ce 0.0000 0.0000 0.5000 [2 per cell]
Th 0.0983 0.5000 0.7947 [4 per cell]
Th 0.1991 0.0000 0.5986 [4 per cell]

The 8 most intense peaks (2θ = 5–70°), low angle first:
- (6 0 -2), 30.8 deg, intensity 100
- (4 0 2), 31.1 deg, intensity 32
- (5 1 0), 35.8 deg, intensity 67
- (0 2 0), 51.3 deg, intensity 24
- (10 0 0), 51.7 deg, intensity 24
- (4 2 2), 61.1 deg, intensity 14
- (11 1 -2), 61.2 deg, intensity 19
- (12 0 -4), 64.1 deg, intensity 13